The following is a computed powder XRD pattern of RbTe4. It was derived from a DFT-relaxed cell (GGA-PBE, Alexandria), using a wavelength of 1.5418 Å.

Largest 10 diffraction maxima, in order of falling intensity, 5° ≤ 2θ ≤ 70°:
index  d_spacing  two_theta  intensity
2 1 1  2.966  30.13  100
0 0 2  3.425  26.02  46
2 1 3  1.876  48.53  26
3 0 1  2.309  39.01  22
2 2 2  2.072  43.70  15
2 2 0  2.601  34.48  15
4 0 2  1.620  56.81  12
1 0 1  5.013  17.69  12
3 3 2  1.547  59.77  11
4 0 0  1.839  49.56  9

Cell: 7.3575 7.3575 6.8500 Å, 90.00 90.00 90.00°
Atoms (fractional coordinates):
Rb: 0.0000 0.0000 0.0000
Rb: 0.5000 0.5000 0.5000
Te: 0.0000 0.2940 0.5000
Te: 0.0000 0.7060 0.5000
Te: 0.2060 0.5000 0.0000
Te: 0.2940 0.0000 0.5000
Te: 0.5000 0.2060 0.0000
Te: 0.5000 0.7940 0.0000
Te: 0.7060 0.0000 0.5000
Te: 0.7940 0.5000 0.0000